No. 1
Structure and simulated XRD peak list of V3P2O20 (a structure optimized by DFT (GGA+U); Cu Kα).

Principal peaks in the range 2θ = 10–90°, in order of rising 2θ:
2θ = 10.30°, rel. 100; 2θ = 12.33°, rel. 83; 2θ = 15.24°, rel. 53; 2θ = 18.94°, rel. 35; 2θ = 20.68°, rel. 43; 2θ = 20.98°, rel. 48; 2θ = 23.11°, rel. 37; 2θ = 27.43°, rel. 50; 2θ = 28.89°, rel. 38; 2θ = 29.75°, rel. 37

Structure:
```
50
Lattice="6.1809 0.0000 0.0000 0.0000 17.1781 0.0000 -6.1501 0.0000 7.8992" Properties=species:S:1:pos:R:3 pbc="T T T"
V 0.0000 0.0000 0.0000
V -3.0750 8.5890 3.9496
V 0.0282 4.1116 2.9921
V -3.0469 4.4774 6.9417
V 3.0777 12.7006 0.9575
V 0.0027 13.0665 4.9072
P -3.0702 11.9290 4.3078
P 0.0049 13.8381 0.3582
P 0.0259 3.3400 7.5411
P 3.1010 5.2491 3.5915
O -4.9205 4.0134 6.8742
O -1.8455 4.5757 2.9246
O -3.0284 10.4516 4.6735
O 0.0466 15.3154 0.7238
O 0.0002 3.5846 1.1602
O -3.0749 5.0044 5.1099
O -1.4799 8.8604 3.0859
O -4.5550 16.9067 7.0355
O -3.1578 1.7507 5.3693
O -0.0828 6.8383 1.4197
O -2.1417 1.2685 4.9131
O 0.9333 7.3205 0.9634
O -1.8652 12.6490 4.9751
O 1.2098 13.1181 1.0255
O 0.8592 0.5843 1.5016
O -2.2158 8.0048 5.4512
O 0.0397 11.5654 3.8851
O -3.0354 14.2017 7.8348
O -3.0671 11.4178 7.8818
O 0.0079 14.3493 3.9322
O 0.0229 2.8288 3.9670
O 3.0979 5.7602 0.0174
O 3.0662 2.9764 0.0645
O -0.0088 5.6126 4.0141
O 2.2466 9.1733 2.4481
O -0.8284 16.5938 6.3977
O -1.1790 4.0599 6.8737
O 1.8960 4.5291 2.9241
O -0.9025 9.8576 6.9358
O 2.1725 15.9095 2.9862
O 0.1136 10.3398 6.4796
O 3.1886 15.4273 2.5300
O 4.5858 0.2713 0.8637
O 1.5108 8.3177 4.8134
O 3.1057 12.1737 2.7894
O 0.0306 13.5934 6.7390
O -0.0158 1.8626 7.1754
O 3.0592 6.7264 3.2258
O 1.8763 12.6024 4.9747
O 4.9513 13.1647 1.0250
```

=====

No. 2
Structure and simulated XRD peak list of V2PO5 (a structure optimized by DFT (GGA+U); Cu Kα).

Principal peaks in the range 2θ = 10–90°, in order of rising 2θ:
2θ = 17.66°, rel. 22; 2θ = 26.81°, rel. 100; 2θ = 27.04°, rel. 33; 2θ = 35.76°, rel. 15; 2θ = 37.39°, rel. 26; 2θ = 42.76°, rel. 31; 2θ = 46.89°, rel. 16; 2θ = 55.25°, rel. 25; 2θ = 55.76°, rel. 32; 2θ = 68.48°, rel. 14

Structure:
```
16
Lattice="3.8750 -3.8754 0.0000 3.8750 3.8754 0.0000 -3.8681 0.0000 6.2747" Properties=species:S:1:pos:R:3 pbc="T T T"
V 0.0000 0.0000 0.0000
V -1.9341 0.0000 3.1373
V 1.9375 1.9377 0.0000
V 0.0034 -1.9377 3.1373
P 0.9739 0.9835 4.7060
P 2.9079 -0.9835 1.5687
O 2.9079 2.9823 1.5687
O 0.0700 1.9047 5.5631
O 1.8777 1.9047 3.8489
O 0.0397 0.0671 3.8805
O 1.9737 -0.0671 0.7431
O 1.9081 0.0671 5.5316
O 3.8421 -0.0671 2.3942
O 2.0041 -1.9047 2.4258
O 3.8117 -1.9047 0.7116
O 0.9739 -2.9823 4.7060
```

=====

No. 3
Structure and simulated XRD peak list of VP5O15 (a structure optimized by DFT (GGA+U); Cu Kα).

Principal peaks in the range 2θ = 10–90°, in order of rising 2θ:
2θ = 11.57°, rel. 71; 2θ = 18.29°, rel. 55; 2θ = 20.16°, rel. 100; 2θ = 23.31°, rel. 44; 2θ = 25.74°, rel. 12; 2θ = 26.45°, rel. 15; 2θ = 28.49°, rel. 32; 2θ = 30.18°, rel. 28; 2θ = 33.11°, rel. 31; 2θ = 34.07°, rel. 18

Structure:
```
42
Lattice="5.2284 0.0000 0.0000 0.0000 9.6997 0.0000 -4.2919 0.0000 12.4394" Properties=species:S:1:pos:R:3 pbc="T T T"
V 0.0000 0.0493 0.0000
V -2.1460 9.6503 6.2197
P 0.3705 1.7117 5.1570
P -1.7755 7.9880 11.3767
P 0.9878 4.5926 4.5566
P -1.1582 5.1070 10.7763
P 2.1701 4.6314 1.8550
P 0.0241 5.0683 8.0747
P 2.7042 1.7750 1.0991
P 0.5583 7.9246 7.3188
P 4.1394 0.1604 3.1082
P 1.9935 9.5393 9.3279
O -2.6223 0.5463 8.1457
O -0.4763 9.1533 1.9260
O 0.0314 1.1762 3.6738
O -2.1145 8.5234 9.8935
O -1.0853 4.7308 7.1288
O 1.0607 4.9689 0.9091
O -0.6950 1.2175 6.1279
O -2.8410 8.4822 12.3476
O 1.2878 1.4480 0.7061
O -2.1122 3.9757 10.5582
O 0.0338 5.7240 4.3385
O -0.8581 8.2517 6.9258
O 0.1629 3.2505 5.0195
O -1.9831 6.4491 11.2391
O 1.5817 3.9597 3.1979
O -0.5643 5.7399 9.4176
O 2.9723 3.2922 1.3478
O 0.8263 6.4074 7.5675
O 1.7858 1.3178 5.4898
O -0.3602 8.3819 11.7094
O 3.7815 1.3136 0.1253
O 1.6356 8.3861 6.3450
O 2.9708 1.1227 2.5524
O 0.8248 8.5770 8.7721
O 0.9901 3.9531 8.3225
O 3.1360 5.7466 2.1028
O -0.0495 4.8129 11.7371
O 2.0965 4.8868 5.5174
O 1.4189 0.5976 10.4972
O 3.5649 9.1021 4.2775
```

=====

No. 4
Structure and simulated XRD peak list of V3P3O13 (a structure optimized by DFT (GGA+U); Cu Kα).

Principal peaks in the range 2θ = 10–90°, in order of rising 2θ:
2θ = 13.46°, rel. 37; 2θ = 16.37°, rel. 82; 2θ = 19.37°, rel. 100; 2θ = 23.62°, rel. 60; 2θ = 23.89°, rel. 44; 2θ = 26.45°, rel. 65; 2θ = 27.99°, rel. 57; 2θ = 29.66°, rel. 40; 2θ = 30.37°, rel. 57; 2θ = 32.22°, rel. 58

Structure:
```
38
Lattice="7.6265 0.0000 0.0000 0.0000 6.3765 0.0000 -1.6194 0.0000 10.2527" Properties=species:S:1:pos:R:3 pbc="T T T"
V 0.0000 0.0000 0.0000
V 0.0000 3.1883 0.0000
V 0.6948 1.5941 5.6940
V 2.4009 4.7824 1.9627
V 3.6062 1.5941 8.2900
V 5.3123 4.7824 4.5587
P 0.8803 4.7824 4.9204
P 1.5911 1.5941 2.3870
P 0.8847 1.5941 8.9907
P 5.1224 4.7824 1.2620
P 4.4160 4.7824 7.8657
P 5.1268 1.5941 5.3323
O -0.5331 4.7824 4.1911
O 0.4058 1.5941 1.3646
O 0.8531 4.7824 0.9786
O 0.1027 0.3208 9.3142
O 0.1027 2.8675 9.3142
O 0.9838 1.5941 3.8484
O 0.9881 3.5219 5.7851
O 0.9881 6.0429 5.7851
O 1.3663 1.5941 7.4884
O 1.9713 4.7824 3.8551
O 2.4461 0.3477 2.1975
O 2.4461 2.8406 2.1975
O 3.6964 4.7824 0.5925
O 2.3107 1.5941 9.6602
O 3.5610 3.5360 8.0552
O 3.5610 6.0289 8.0552
O 4.0358 1.5941 6.3976
O 4.6408 4.7824 2.7643
O 5.0190 0.3336 4.4676
O 5.0190 2.8547 4.4676
O 5.0233 4.7824 6.4043
O 5.9044 3.5091 0.9385
O 5.9044 6.0558 0.9385
O 5.1539 1.5941 9.2741
O 5.6012 4.7824 8.8881
O 6.5402 1.5941 6.0616
```

=====

No. 5
Structure and simulated XRD peak list of VP3O9 (a structure optimized by DFT (GGA+U); Cu Kα).

Principal peaks in the range 2θ = 10–90°, in order of rising 2θ:
2θ = 17.67°, rel. 100; 2θ = 20.92°, rel. 19; 2θ = 22.21°, rel. 68; 2θ = 22.99°, rel. 47; 2θ = 23.14°, rel. 37; 2θ = 24.58°, rel. 45; 2θ = 25.30°, rel. 42; 2θ = 25.40°, rel. 28; 2θ = 33.15°, rel. 86; 2θ = 34.82°, rel. 20

Structure:
```
52
Lattice="8.4912 0.0000 0.0000 0.0000 8.5580 0.0000 0.0000 0.0000 9.0610" Properties=species:S:1:pos:R:3 pbc="T T T"
V 1.3035 1.1060 1.0064
V 2.9421 7.4520 5.5369
V 5.5491 3.1730 8.0547
V 7.1877 5.3850 3.5241
P 0.2221 2.7039 7.4418
P 1.6059 4.0215 2.7737
P 1.6860 6.9546 8.3810
P 2.5596 1.6034 3.8505
P 2.6397 4.5365 7.3042
P 4.0235 5.8541 2.9113
P 4.4677 1.5751 1.6192
P 5.8515 0.2575 6.2873
P 5.9316 5.8824 0.6801
P 6.8052 2.6756 5.2106
P 6.8853 8.3006 1.7568
P 8.2692 6.9829 6.1497
O 0.3026 6.5541 7.6069
O 0.6759 5.1183 3.2020
O 0.9399 7.5142 5.3517
O 0.9899 1.5805 8.0903
O 1.2026 3.8854 7.0076
O 1.2607 3.1610 1.5918
O 1.3549 7.5652 0.6449
O 1.6512 0.7972 2.9570
O 1.9427 3.0829 4.0679
O 2.3029 5.4751 8.5984
O 2.5944 7.7609 7.4875
O 2.8907 0.9928 5.1754
O 2.9849 5.3971 6.1223
O 3.0430 4.6727 2.4771
O 3.2557 6.9776 3.5598
O 3.3057 1.0438 0.8211
O 3.5697 3.4397 7.7325
O 3.9430 2.0039 3.0764
O 4.5482 6.2829 1.4542
O 4.9215 7.7187 5.8590
O 5.1855 5.3228 3.7094
O 5.2355 2.6986 0.9707
O 5.4482 0.3937 2.0534
O 5.5063 1.1180 7.4692
O 5.6005 5.2718 8.4161
O 5.8968 3.4819 6.1040
O 6.1883 1.1961 4.9931
O 6.5485 7.3619 0.4626
O 6.8400 5.0762 1.5735
O 7.1363 3.2862 3.8856
O 7.2305 7.4400 2.9387
O 7.2886 8.1644 6.5839
O 7.5013 5.8595 5.5012
O 7.5513 3.2352 8.2399
O 7.8153 0.8393 1.3285
O 8.1886 2.2751 5.9847
```

=====

No. 6
Structure and simulated XRD peak list of VP2O7 (a structure optimized by DFT (GGA+U); Cu Kα).

Principal peaks in the range 2θ = 10–90°, in order of rising 2θ:
2θ = 14.76°, rel. 69; 2θ = 22.02°, rel. 67; 2θ = 22.24°, rel. 100; 2θ = 23.07°, rel. 89; 2θ = 31.42°, rel. 30; 2θ = 32.02°, rel. 16; 2θ = 32.82°, rel. 17; 2θ = 34.50°, rel. 19; 2θ = 55.11°, rel. 11; 2θ = 55.86°, rel. 10

Structure:
```
20
Lattice="5.2016 0.0000 0.0000 0.1260 6.7332 0.0000 0.2234 2.8074 7.7102" Properties=species:S:1:pos:R:3 pbc="T T T"
V 1.3355 2.0482 1.7810
V 4.2154 7.4924 5.9292
P 1.4262 2.5946 5.1365
P 1.6720 5.3524 6.2638
P 3.8790 4.1882 1.4464
P 4.1247 6.9460 2.5737
O 0.3348 7.1957 2.0433
O 0.6132 6.3449 5.8426
O 1.3562 4.6754 7.6183
O 1.5520 2.2503 3.6452
O 1.6381 4.1829 5.1629
O 2.6451 8.6739 5.9591
O 2.4593 3.6464 1.4855
O 3.0917 5.8941 6.2246
O 2.9058 0.8667 1.7511
O 3.9129 5.3577 2.5473
O 3.9990 7.2903 4.0649
O 4.1947 4.8652 0.0919
O 4.9378 3.1957 1.8676
O 5.2161 2.3449 5.6668
```

=====

No. 7
Structure and simulated XRD peak list of VP2O6 (a structure optimized by DFT (GGA+U); Cu Kα).

Principal peaks in the range 2θ = 10–90°, in order of rising 2θ:
2θ = 15.42°, rel. 100; 2θ = 21.91°, rel. 64; 2θ = 22.04°, rel. 12; 2θ = 24.49°, rel. 30; 2θ = 25.89°, rel. 43; 2θ = 30.03°, rel. 32; 2θ = 31.13°, rel. 10; 2θ = 37.48°, rel. 10; 2θ = 46.68°, rel. 9; 2θ = 54.02°, rel. 11

Structure:
```
18
Lattice="6.1092 -4.0573 0.0000 6.1092 4.0573 0.0000 -4.5107 0.0000 6.8819" Properties=species:S:1:pos:R:3 pbc="T T T"
V 2.7262 2.1374 5.1614
V 4.9815 -2.1374 1.7205
P 2.2494 1.7146 1.7557
P -0.0060 -1.7146 5.1967
P 7.7136 1.7146 1.6852
P 5.4583 -1.7146 5.1262
O 4.9815 -4.0543 1.7205
O 2.7262 4.0543 5.1614
O 0.8143 2.4328 5.5854
O 2.3375 2.1532 3.2146
O 4.6380 2.4328 4.7374
O 7.6255 2.1532 0.2264
O 2.7262 0.4769 5.1614
O 4.9815 -0.4769 1.7205
O 0.0822 -2.1532 6.6555
O 3.0697 -2.4328 2.1445
O 5.3702 -2.1532 3.6673
O 6.8933 -2.4328 1.2964
```

=====

No. 8
Structure and simulated XRD peak list of VP2O7 (a structure optimized by DFT (GGA+U); Cu Kα).

Principal peaks in the range 2θ = 10–90°, in order of rising 2θ:
2θ = 15.33°, rel. 65; 2θ = 17.35°, rel. 67; 2θ = 21.81°, rel. 42; 2θ = 25.74°, rel. 39; 2θ = 29.35°, rel. 83; 2θ = 29.94°, rel. 69; 2θ = 30.36°, rel. 100; 2θ = 35.56°, rel. 16; 2θ = 43.24°, rel. 17; 2θ = 58.47°, rel. 23

Structure:
```
40
Lattice="7.0767 0.0000 0.0000 0.0000 8.1498 0.0000 -3.7621 0.0000 8.1951" Properties=species:S:1:pos:R:3 pbc="T T T"
V 1.2262 0.7511 0.9176
V -0.6549 3.3238 5.0151
V 3.9694 4.8260 3.1800
V 2.0884 7.3987 7.2775
P -2.2839 6.0073 6.0907
P -0.4029 6.2174 1.9932
P 3.0715 6.0391 0.3075
P 1.1905 6.1856 4.4051
P 2.1241 1.9642 3.7900
P 0.2431 2.1107 7.8876
P 3.7174 1.9324 6.2019
P 5.5985 2.1425 2.1044
O -2.2685 4.7803 5.0827
O -0.3875 7.4444 0.9851
O -0.0324 1.9592 1.5043
O -1.9135 2.1157 5.6019
O 0.2087 4.9853 1.4726
O -1.6723 7.2394 5.5701
O -1.5057 5.3266 7.3338
O 0.3753 6.8981 3.2363
O 0.4632 4.8816 4.7525
O 2.3443 7.3431 0.6549
O 2.5807 1.8542 0.2101
O 0.6997 2.2207 4.3077
O 2.0466 0.9191 2.6912
O 0.1655 3.1558 6.7887
O 3.1491 4.9940 1.4064
O 1.2680 7.2307 5.5039
O 2.6149 5.9291 3.8874
O 0.7339 6.2956 7.9850
O 0.9703 0.8067 7.5401
O 2.8513 3.2682 3.4426
O 2.9392 1.2517 4.9588
O 4.8203 2.8232 0.8613
O 4.9869 0.9104 2.6250
O 3.1058 3.1645 6.7225
O 5.2281 6.0341 2.5932
O 3.3470 6.1906 6.6907
O 3.7020 0.7054 7.2099
O 5.5831 3.3695 3.1124
```